(1)
KBiP2Se6: simulated XRD peak list (copper Kα), based on a structure optimized by DFT (GGA-PBE).

Cell and atoms:
a = 12.647 Å, b = 7.744 Å, c = 12.803 Å
α = 90.00°, β = 111.34°, γ = 90.00°
Atoms (fractional coordinates):
K: 0.092 0.083 0.363
K: 0.092 0.417 0.863
K: 0.908 0.583 0.137
K: 0.908 0.917 0.637
Bi: 0.381 0.655 0.669
Bi: 0.381 0.845 0.169
Bi: 0.619 0.155 0.831
Bi: 0.619 0.345 0.331
P: 0.262 0.594 0.316
P: 0.262 0.906 0.816
P: 0.264 0.126 0.698
P: 0.264 0.374 0.198
P: 0.736 0.626 0.802
P: 0.736 0.874 0.302
P: 0.738 0.094 0.184
P: 0.738 0.406 0.684
Se: 0.095 0.232 0.619
Se: 0.095 0.268 0.119
Se: 0.165 0.701 0.697
Se: 0.165 0.799 0.197
Se: 0.194 0.504 0.440
Se: 0.194 0.996 0.940
Se: 0.337 0.004 0.579
Se: 0.337 0.496 0.079
Se: 0.387 0.185 0.310
Se: 0.387 0.315 0.810
Se: 0.442 0.688 0.384
Se: 0.442 0.812 0.884
Se: 0.558 0.188 0.116
Se: 0.558 0.312 0.616
Se: 0.613 0.685 0.190
Se: 0.613 0.815 0.690
Se: 0.663 0.504 0.921
Se: 0.663 0.996 0.421
Se: 0.806 0.004 0.060
Se: 0.806 0.496 0.560
Se: 0.835 0.201 0.803
Se: 0.835 0.299 0.303
Se: 0.905 0.732 0.881
Se: 0.905 0.768 0.381

Largest 12 diffraction maxima, low angle first, 2θ = 10–80°:
hkl 1 1 0, 2θ 13.7, rel. 41
hkl 1 0 -2, 2θ 14.0, rel. 66
hkl 0 0 2, 2θ 14.9, rel. 40
hkl 2 1 0, 2θ 18.9, rel. 47
hkl 2 2 -2, 2θ 28.6, rel. 100
hkl 3 1 1, 2θ 28.8, rel. 48
hkl 4 0 0, 2θ 30.4, rel. 49
hkl 2 1 -4, 2θ 30.5, rel. 42
hkl 1 2 -3, 2θ 31.2, rel. 42
hkl 0 1 4, 2θ 32.2, rel. 41
hkl 4 0 -4, 2θ 34.1, rel. 42
hkl 1 3 1, 2θ 37.0, rel. 48

(2)
KBiP2Se6: simulated XRD peak list (copper Kα), based on a structure optimized by DFT (GGA-PBE).

Cell and atoms:
a = 7.092 Å, b = 7.839 Å, c = 10.454 Å
α = 90.00°, β = 91.70°, γ = 90.00°
Atoms (fractional coordinates):
K: 0.198 0.000 0.000
K: 0.802 0.500 0.000
Bi: 0.293 0.247 0.482
Bi: 0.707 0.747 0.518
P: 0.192 0.706 0.325
P: 0.296 0.487 0.201
P: 0.704 0.987 0.799
P: 0.808 0.206 0.675
Se: 0.074 0.302 0.758
Se: 0.084 0.285 0.231
Se: 0.150 0.586 0.519
Se: 0.327 0.572 0.008
Se: 0.424 0.899 0.327
Se: 0.444 0.900 0.688
Se: 0.556 0.400 0.312
Se: 0.576 0.399 0.673
Se: 0.673 0.072 0.992
Se: 0.850 0.086 0.481
Se: 0.916 0.785 0.769
Se: 0.926 0.802 0.242

Largest 12 diffraction maxima, low angle first, 2θ = 10–80°:
hkl 1 1 0, 2θ 16.9, rel. 61
hkl 1 1 1, 2θ 19.1, rel. 53
hkl 0 2 1, 2θ 24.3, rel. 78
hkl 0 2 2, 2θ 28.5, rel. 65
hkl 2 1 1, 2θ 29.2, rel. 47
hkl 1 1 -3, 2θ 30.5, rel. 51
hkl 2 0 2, 2θ 30.9, rel. 100
hkl 1 1 3, 2θ 31.1, rel. 39
hkl 2 1 -2, 2θ 32.2, rel. 46
hkl 0 0 4, 2θ 34.3, rel. 50
hkl 0 2 3, 2θ 34.4, rel. 37
hkl 1 3 0, 2θ 36.7, rel. 72

(3)
KBiS2: simulated XRD peak list (copper Kα), based on a structure optimized by DFT (GGA-PBE).

Cell and atoms:
a = 4.165 Å, b = 4.165 Å, c = 22.421 Å
α = 90.00°, β = 90.00°, γ = 120.00°
Atoms (fractional coordinates):
K: 0.000 0.000 0.000
K: 0.333 0.667 0.667
K: 0.667 0.333 0.333
Bi: 0.000 0.000 0.500
Bi: 0.333 0.667 0.167
Bi: 0.667 0.333 0.833
S: 0.000 0.000 0.237
S: 0.000 0.000 0.763
S: 0.333 0.667 0.430
S: 0.333 0.667 0.903
S: 0.667 0.333 0.097
S: 0.667 0.333 0.570

Largest 12 diffraction maxima, low angle first, 2θ = 10–80°:
hkl 0 0 3, 2θ 11.8, rel. 89
hkl 0 0 6, 2θ 23.8, rel. 20
hkl 1 0 1, 2θ 25.0, rel. 38
hkl 0 1 2, 2θ 26.0, rel. 45
hkl 1 0 4, 2θ 29.4, rel. 100
hkl 0 1 5, 2θ 31.8, rel. 16
hkl 1 0 7, 2θ 37.6, rel. 22
hkl 0 1 8, 2θ 40.8, rel. 38
hkl 1 1 0, 2θ 43.5, rel. 35
hkl 1 1 3, 2θ 45.2, rel. 22
hkl 1 1 6, 2θ 50.2, rel. 18
hkl 0 2 4, 2θ 53.4, rel. 18

(4)
KBiS2: simulated XRD peak list (copper Kα), based on a structure optimized by DFT (GGA-PBE).

Cell and atoms:
a = 4.262 Å, b = 4.262 Å, c = 5.790 Å
α = 90.00°, β = 90.00°, γ = 90.00°
Atoms (fractional coordinates):
K: 0.000 0.000 0.000
Bi: 0.500 0.500 0.500
S: 0.000 0.000 0.500
S: 0.500 0.500 0.000

Largest 12 diffraction maxima, low angle first, 2θ = 10–80°:
hkl 0 0 1, 2θ 15.3, rel. 61
hkl 1 0 0, 2θ 20.8, rel. 62
hkl 1 0 1, 2θ 26.0, rel. 88
hkl 1 1 0, 2θ 29.6, rel. 100
hkl 0 0 2, 2θ 30.9, rel. 45
hkl 1 1 1, 2θ 33.5, rel. 40
hkl 1 0 2, 2θ 37.6, rel. 30
hkl 2 0 0, 2θ 42.4, rel. 37
hkl 1 1 2, 2θ 43.3, rel. 69
hkl 2 1 1, 2θ 50.4, rel. 32
hkl 2 0 2, 2θ 53.4, rel. 37
hkl 3 1 2, 2θ 78.2, rel. 24

(5)
KSiBiS4: simulated XRD peak list (copper Kα), based on a structure optimized by DFT (GGA-PBE).

Cell and atoms:
a = 6.558 Å, b = 6.809 Å, c = 17.560 Å
α = 90.00°, β = 107.45°, γ = 90.00°
Atoms (fractional coordinates):
K: 0.218 0.250 0.464
K: 0.218 0.250 0.964
K: 0.782 0.750 0.036
K: 0.782 0.750 0.536
Si: 0.294 0.735 0.342
Si: 0.294 0.765 0.842
Si: 0.706 0.235 0.158
Si: 0.706 0.265 0.658
Bi: 0.259 0.200 0.721
Bi: 0.259 0.300 0.221
Bi: 0.741 0.700 0.779
Bi: 0.741 0.800 0.279
S: 0.089 0.749 0.416
S: 0.089 0.751 0.916
S: 0.097 0.687 0.221
S: 0.097 0.813 0.721
S: 0.483 0.001 0.134
S: 0.483 0.499 0.634
S: 0.487 0.507 0.857
S: 0.487 0.993 0.357
S: 0.513 0.007 0.643
S: 0.513 0.493 0.143
S: 0.517 0.501 0.366
S: 0.517 0.999 0.866
S: 0.903 0.187 0.279
S: 0.903 0.313 0.779
S: 0.911 0.249 0.084
S: 0.911 0.251 0.584

Largest 12 diffraction maxima, low angle first, 2θ = 10–80°:
hkl 0 0 2, 2θ 10.6, rel. 100
hkl 0 1 2, 2θ 16.8, rel. 20
hkl 1 1 0, 2θ 19.3, rel. 41
hkl 1 1 -2, 2θ 19.8, rel. 20
hkl 0 1 4, 2θ 25.0, rel. 14
hkl 0 2 0, 2θ 26.2, rel. 18
hkl 1 0 4, 2θ 29.0, rel. 17
hkl 2 0 -4, 2θ 30.1, rel. 19
hkl 1 1 4, 2θ 31.9, rel. 26
hkl 2 1 -4, 2θ 32.9, rel. 19
hkl 1 2 -4, 2θ 34.3, rel. 15
hkl 2 2 0, 2θ 39.1, rel. 25

(6)
KBiSe2: simulated XRD peak list (copper Kα), based on a structure optimized by DFT (GGA-PBE).

Cell and atoms:
a = 4.429 Å, b = 4.429 Å, c = 6.058 Å
α = 90.00°, β = 90.00°, γ = 90.00°
Atoms (fractional coordinates):
K: 0.000 0.000 0.000
Bi: 0.500 0.500 0.500
Se: 0.000 0.000 0.500
Se: 0.500 0.500 0.000

Largest 12 diffraction maxima, low angle first, 2θ = 10–80°:
hkl 0 0 1, 2θ 14.6, rel. 37
hkl 1 0 0, 2θ 20.0, rel. 37
hkl 1 1 0, 2θ 28.5, rel. 100
hkl 0 0 2, 2θ 29.5, rel. 46
hkl 1 1 1, 2θ 32.2, rel. 24
hkl 1 0 2, 2θ 35.9, rel. 18
hkl 2 0 0, 2θ 40.7, rel. 38
hkl 1 1 2, 2θ 41.5, rel. 72
hkl 2 0 2, 2θ 51.1, rel. 39
hkl 3 1 0, 2θ 66.8, rel. 18
hkl 1 1 4, 2θ 68.8, rel. 22
hkl 3 1 2, 2θ 74.7, rel. 26